Entry 1:
Calculated powder XRD pattern
Compound: SrZn12Ag7
Radiation: Cu Kα (weighted mean of Kα1 and Kα2)
Structure: a cell relaxed with PBE
Peak positions follow from Bragg's law for the DFT cell and can differ from measured ones.

Structure:
Unit cell a=9.5091 b=9.5091 c=9.5091 alpha=90.00 beta=90.00 gamma=90.00
Space group Im-3 (No. 204)
Symmetry-distinct sites (fractional):
Sr 0.0000 0.0000 0.0000 [2 per cell]
Zn 0.0000 0.2502 0.3570 [24 per cell]
Ag 0.0000 0.0000 0.5000 [6 per cell]
Ag 0.2500 0.2500 0.2500 [8 per cell]

Top 10 peaks for 10 to 90 degrees two-theta, in order of rising 2θ:
13.2 deg, intensity 395; 22.9 deg, intensity 129; 26.5 deg, intensity 660; 29.7 deg, intensity 134; 35.3 deg, intensity 184; 37.8 deg, intensity 518; 42.5 deg, intensity 317; 46.8 deg, intensity 1000; 61.7 deg, intensity 133; 74.7 deg, intensity 489

Entry 2:
Calculated powder XRD pattern
Compound: Pr3NbCl6O4
Radiation: Cu Kα (weighted mean of Kα1 and Kα2)
Structure: a cell relaxed with PBE
Peak positions follow from Bragg's law for the DFT cell and can differ from measured ones.

Structure:
Unit cell a=12.9354 b=12.9354 c=3.9969 alpha=90.00 beta=90.00 gamma=120.00
Space group P6_3/m (No. 176)
Symmetry-distinct sites (fractional):
Pr 0.1160 0.7219 0.2500 [6 per cell]
Nb 0.3333 0.6667 0.7500 [2 per cell]
Cl 0.0681 0.4398 0.2500 [6 per cell]
Cl 0.1008 0.2464 0.7500 [6 per cell]
O 0.2011 0.6945 0.7500 [6 per cell]
O 0.3333 0.6667 0.2500 [2 per cell]

Top 10 peaks for 10 to 90 degrees two-theta, in order of rising 2θ:
15.8 deg, intensity 401; 21.0 deg, intensity 1000; 26.2 deg, intensity 397; 27.4 deg, intensity 699; 30.8 deg, intensity 733; 36.6 deg, intensity 670; 36.8 deg, intensity 827; 41.8 deg, intensity 560; 59.8 deg, intensity 378; 62.5 deg, intensity 352

Entry 3:
Calculated powder XRD pattern
Compound: Ce7Sn2
Radiation: Cu Kα (weighted mean of Kα1 and Kα2)
Structure: a cell relaxed with PBE
Peak positions follow from Bragg's law for the DFT cell and can differ from measured ones.

Structure:
Unit cell a=5.4026 b=5.4026 c=9.5175 alpha=90.00 beta=90.00 gamma=120.00
Space group P-3m1 (No. 164)
Symmetry-distinct sites (fractional):
Ce 0.0000 0.0000 0.0000 [1 per cell]
Ce 0.0000 0.0000 0.3638 [2 per cell]
Ce 0.3333 0.6667 0.1174 [2 per cell]
Ce 0.3333 0.6667 0.4119 [2 per cell]
Sn 0.3333 0.6667 0.7679 [2 per cell]

Top 10 peaks for 10 to 90 degrees two-theta, in order of rising 2θ:
33.2 deg, intensity 1000; 34.1 deg, intensity 791; 48.3 deg, intensity 298; 59.2 deg, intensity 190; 59.9 deg, intensity 315; 61.8 deg, intensity 86; 69.6 deg, intensity 118; 79.9 deg, intensity 139; 81.5 deg, intensity 79; 89.2 deg, intensity 55

Entry 4:
Calculated powder XRD pattern
Compound: KNi6Te4
Radiation: Cu Kα (weighted mean of Kα1 and Kα2)
Structure: a cell relaxed with PBE
Peak positions follow from Bragg's law for the DFT cell and can differ from measured ones.

Structure:
Unit cell a=4.1485 b=4.1485 c=25.8973 alpha=90.00 beta=90.00 gamma=90.00
Space group I4/mmm (No. 139)
Symmetry-distinct sites (fractional):
K 0.0000 0.0000 0.0000 [2 per cell]
Ni 0.0000 0.5000 0.1378 [8 per cell]
Ni 0.0000 0.5000 0.2500 [4 per cell]
Te 0.0000 0.0000 0.1941 [4 per cell]
Te 0.0000 0.0000 0.4176 [4 per cell]

Top 10 peaks for 10 to 90 degrees two-theta, in order of rising 2θ:
23.8 deg, intensity 186; 27.5 deg, intensity 1000; 41.5 deg, intensity 594; 43.6 deg, intensity 494; 46.8 deg, intensity 456; 52.4 deg, intensity 327; 63.4 deg, intensity 155; 78.7 deg, intensity 170; 81.4 deg, intensity 140; 82.4 deg, intensity 162

Entry 5:
Calculated powder XRD pattern
Compound: La3Se4Cl
Radiation: Cu Kα (weighted mean of Kα1 and Kα2)
Structure: a cell relaxed with PBE
Peak positions follow from Bragg's law for the DFT cell and can differ from measured ones.

Structure:
Unit cell a=12.8464 b=8.0243 c=8.5937 alpha=90.00 beta=90.00 gamma=90.00
Space group Pna2_1 (No. 33)
Symmetry-distinct sites (fractional):
La 0.0100 0.0812 0.0000 [4 per cell]
La 0.1739 0.5111 0.7462 [4 per cell]
La 0.1833 0.5250 0.2472 [4 per cell]
Se 0.0019 0.4642 0.0028 [4 per cell]
Se 0.0987 0.1611 0.7011 [4 per cell]
Se 0.1879 0.8256 0.9970 [4 per cell]
Se 0.2183 0.7979 0.5001 [4 per cell]
Cl 0.1051 0.1567 0.2900 [4 per cell]

Top 10 peaks for 10 to 90 degrees two-theta, in order of rising 2θ:
23.5 deg, intensity 401; 24.9 deg, intensity 322; 31.3 deg, intensity 300; 31.5 deg, intensity 447; 33.6 deg, intensity 1000; 34.2 deg, intensity 303; 34.9 deg, intensity 440; 42.1 deg, intensity 379; 42.5 deg, intensity 375; 65.8 deg, intensity 288

Entry 6:
Calculated powder XRD pattern
Compound: CsScOsO6
Radiation: Cu Kα (weighted mean of Kα1 and Kα2)
Structure: a cell relaxed with PBE
Peak positions follow from Bragg's law for the DFT cell and can differ from measured ones.

Structure:
Unit cell a=5.4218 b=5.4218 c=6.6285 alpha=90.00 beta=90.00 gamma=120.00
Space group P312 (No. 149)
Symmetry-distinct sites (fractional):
Cs 0.0000 0.0000 0.0000 [1 per cell]
Sc 0.3333 0.6667 0.5000 [1 per cell]
Os 0.6667 0.3333 0.5000 [1 per cell]
O 0.4132 0.0317 0.6657 [6 per cell]

Top 10 peaks for 10 to 90 degrees two-theta, in order of rising 2θ:
13.4 deg, intensity 182; 18.9 deg, intensity 174; 23.2 deg, intensity 1000; 26.9 deg, intensity 134; 33.1 deg, intensity 320; 40.8 deg, intensity 175; 43.1 deg, intensity 347; 45.4 deg, intensity 130; 53.5 deg, intensity 214; 66.1 deg, intensity 172